Structure and computed XRD peak list of GdTlZn (a structure optimized by DFT (GGA-PBE); a wavelength of 1.5418 Å).
Intensities are scaled so that the largest is 100.

abc: 4.7640 4.7640 7.3640
angles: 90.00 90.00 120.00
Positions (direct):
Gd 0.0000 0.0000 0.0000
Gd 0.0000 0.0000 0.5000
Tl 0.3333 0.6667 0.2500
Tl 0.6667 0.3333 0.7500
Zn 0.3333 0.6667 0.7500
Zn 0.6667 0.3333 0.2500

The 10 most intense peaks (10° ≤ 2θ ≤ 80°), sorted by position:
- 24.74°, I 29, hkl 1 0 1
- 32.60°, I 100, hkl 1 0 2
- 37.77°, I 72, hkl 1 1 0
- 42.87°, I 7, hkl 1 0 3
- 45.35°, I 6, hkl 1 1 2
- 49.51°, I 11, hkl 0 0 4
- 50.73°, I 29, hkl 2 0 2
- 63.91°, I 31, hkl 1 1 4
- 64.94°, I 27, hkl 2 1 2
- 68.19°, I 13, hkl 3 0 0